Structure and calculated XRD peak list of NdScS3 (a DFT-relaxed cell (PBE, Alexandria); copper Kα).
Peak positions follow from Bragg's law for the DFT cell and can differ from measured ones.

abc: 7.3775 7.3775 8.3733
angles: 91.06 91.06 30.10
Fractional positions:
Nd: 0.1131 0.1131 0.0929
Nd: 0.8869 0.8869 0.9071
Sc: 0.3216 0.3216 0.3625
Sc: 0.6784 0.6784 0.6375
S: 0.1430 0.1430 0.4475
S: 0.2446 0.2446 0.8325
S: 0.4587 0.4587 0.1673
S: 0.5413 0.5413 0.8327
S: 0.7554 0.7554 0.1675
S: 0.8570 0.8570 0.5525

Top 10 peaks for 2θ = 5–70°, sorted by position:
| d [Å] | 2θ/deg | I_rel |
| --- | --- | --- |
| 8.372 | 10.57 | 100.0 |
| 5.477 | 16.18 | 36.2 |
| 3.639 | 24.46 | 34.8 |
| 3.562 | 25.00 | 28.1 |
| 3.391 | 26.28 | 57.7 |
| 2.798 | 31.99 | 72.4 |
| 2.415 | 37.23 | 52.7 |
| 2.296 | 39.24 | 30.5 |
| 2.286 | 39.41 | 32.6 |
| 2.050 | 44.19 | 40.9 |

=====

Structure and calculated XRD peak list of Th7Ir2Pb2 (a DFT-relaxed cell (PBE, Alexandria); copper Kα).
Peak positions follow from Bragg's law for the DFT cell and can differ from measured ones.

abc: 7.1449 7.1449 6.9967
angles: 90.00 90.00 105.12
Fractional positions:
Th: 0.0000 0.0000 0.0000
Th: 0.0000 0.5000 0.2595
Th: 0.0000 0.5000 0.7405
Th: 0.5000 0.0000 0.2595
Th: 0.5000 0.0000 0.7405
Th: 0.5000 0.5000 0.2389
Th: 0.5000 0.5000 0.7611
Ir: 0.2635 0.7365 0.0000
Ir: 0.7365 0.2635 0.0000
Pb: 0.1748 0.1748 0.5000
Pb: 0.8252 0.8252 0.5000

Top 10 peaks for 2θ = 5–70°, sorted by position:
| d [Å] | 2θ/deg | I_rel |
| --- | --- | --- |
| 3.690 | 24.12 | 41.8 |
| 3.449 | 25.83 | 37.1 |
| 3.120 | 28.61 | 43.0 |
| 2.837 | 31.54 | 67.8 |
| 2.463 | 36.48 | 30.6 |
| 2.456 | 36.59 | 100.0 |
| 2.249 | 40.09 | 21.6 |
| 2.172 | 41.58 | 19.6 |
| 1.554 | 59.50 | 24.3 |
| 1.489 | 62.37 | 19.4 |

=====

Number 2 is which compound?
Th7Ir2Pb2